Record 1
SmHgAu2: calculated powder diffractogram (λ = 1.5418 Å (Cu Kα)), based on a crystal structure in the Materials Project, relaxed with PBE.
Neutral-atom scattering factors, no anomalous dispersion.

Main lines, by angle (2θ = 15–90°):
2θ 21.68, d = 4.100 Å, intensity 1
2θ 35.77, d = 2.511 Å, intensity 100
2θ 42.21, d = 2.141 Å, intensity 1
2θ 51.48, d = 1.775 Å, intensity 18
2θ 64.26, d = 1.449 Å, intensity 37
2θ 75.78, d = 1.255 Å, intensity 12
2θ 86.73, d = 1.123 Å, intensity 17

Crystal structure
```
4
Lattice="0.000 3.550 3.550 3.550 0.000 3.550 3.550 3.550 0.000" Properties=species:S:1:pos:R:3 pbc="T T T"
Sm 0.000 0.000 0.000
Hg 3.550 3.550 3.550
Au 1.775 1.775 1.775
Au 5.326 5.326 5.326
```

---

Record 2
HoAu3: calculated powder diffractogram (λ = 1.5418 Å (Cu Kα)), based on a crystal structure in the Materials Project, relaxed with PBE.
Neutral-atom scattering factors, no anomalous dispersion.

Main lines, by angle (2θ = 15–90°):
2θ 33.81, d = 2.651 Å, intensity 28
2θ 35.60, d = 2.522 Å, intensity 43
2θ 38.36, d = 2.347 Å, intensity 100
2θ 39.17, d = 2.300 Å, intensity 53
2θ 49.91, d = 1.827 Å, intensity 19
2θ 61.65, d = 1.504 Å, intensity 17
2θ 65.77, d = 1.420 Å, intensity 21
2θ 66.33, d = 1.409 Å, intensity 12
2θ 73.26, d = 1.292 Å, intensity 23
2θ 73.94, d = 1.282 Å, intensity 17

Crystal structure
```
8
Lattice="5.044 0.000 0.000 0.000 6.176 0.000 0.000 0.000 5.168" Properties=species:S:1:pos:R:3 pbc="T T T"
Ho 1.261 1.544 0.804
Ho 3.783 4.632 4.364
Au 1.261 3.124 3.416
Au 1.261 4.632 0.852
Au 1.261 6.140 3.416
Au 3.783 0.036 1.752
Au 3.783 1.544 4.316
Au 3.783 3.052 1.752
```

---

Record 3
HoAu4: calculated powder diffractogram (λ = 1.5418 Å (Cu Kα)), based on a crystal structure in the Materials Project, relaxed with PBE.
Neutral-atom scattering factors, no anomalous dispersion.

Main lines, by angle (2θ = 15–90°):
2θ 36.41, d = 2.468 Å, intensity 100
2θ 42.04, d = 2.149 Å, intensity 34
2θ 42.79, d = 2.113 Å, intensity 16
2θ 60.97, d = 1.520 Å, intensity 11
2θ 61.54, d = 1.507 Å, intensity 22
2θ 73.14, d = 1.294 Å, intensity 27
2θ 74.19, d = 1.278 Å, intensity 13
2θ 77.34, d = 1.234 Å, intensity 12

Crystal structure
```
5
Lattice="-3.398 3.398 2.113 3.398 -3.398 2.113 3.398 3.398 -2.113" Properties=species:S:1:pos:R:3 pbc="T T T"
Ho 0.000 0.000 0.000
Au 4.069 1.352 0.000
Au 1.352 2.727 0.000
Au 2.046 0.671 2.113
Au -0.671 2.046 2.113
```